Simulated XRD peak list of BaLa2S4 for Cu Kα (λ = 1.5418 Å), from a structure optimized by DFT (PBE).
No peak broadening, texture or thermal motion is included.

Most intense lines, 2θ = 5–70°, low angle first:
- 24.31°, I = 100.0
- 28.14°, I = 7.8
- 31.49°, I = 67.4
- 31.68°, I = 33.9
- 37.49°, I = 43.0
- 37.61°, I = 18.8
- 45.15°, I = 28.0
- 45.38°, I = 13.7
- 47.57°, I = 27.3
- 51.89°, I = 12.8
- 52.11°, I = 10.3
- 63.88°, I = 18.9

Atomic structure:
```
14
Lattice="-4.4935 4.4935 4.4628 4.4935 -4.4935 4.4628 4.4935 4.4935 -4.4628" Properties=species:S:1:pos:R:3 pbc="T T T"
Ba 0.0000 0.0000 0.0000
Ba 0.0000 4.4935 2.2314
La 2.2468 -1.1304 3.3471
La 3.3632 2.2468 1.1157
La 2.2468 5.6239 -1.1157
La 1.1304 2.2468 5.5786
S 6.0075 0.6912 0.5666
S 3.8023 2.9796 -1.6648
S 0.6912 2.9796 -0.5666
S 0.6912 1.5139 2.7980
S 3.8023 1.5139 3.8963
S 1.5139 -0.6912 6.1277
S 2.9796 5.1847 1.6648
S -1.5139 3.8023 5.0294
```



Simulated XRD peak list of Cs2NaTiF6 for Cu Kα (λ = 1.5418 Å), from a structure optimized by DFT (PBE).
No peak broadening, texture or thermal motion is included.

Most intense lines, 2θ = 5–70°, low angle first:
- 19.77°, I = 22.0
- 23.72°, I = 47.5
- 27.80°, I = 100.0
- 28.39°, I = 69.5
- 34.34°, I = 25.7
- 35.31°, I = 15.3
- 36.86°, I = 42.3
- 40.15°, I = 50.0
- 44.70°, I = 16.3
- 49.17°, I = 19.3
- 49.54°, I = 29.0
- 57.43°, I = 24.9

Atomic structure:
```
30
Lattice="6.4184 0.0000 0.0000 -3.2092 5.5585 0.0000 0.0000 0.0000 15.2503" Properties=species:S:1:pos:R:3 pbc="T T T"
Cs 0.0000 0.0000 3.7903
Cs 0.0000 0.0000 11.4601
Cs 0.0000 3.7057 1.3479
Cs 0.0000 3.7057 6.0165
Cs 3.2092 1.8528 9.2339
Cs 3.2092 1.8528 13.9025
Na 0.0000 0.0000 0.0000
Na 0.0000 3.7057 9.8034
Na 3.2092 1.8528 5.4469
Ti 0.0000 0.0000 7.6252
Ti 0.0000 3.7057 12.8088
Ti 3.2092 1.8528 2.4415
F -1.3866 2.9051 11.5992
F 0.0000 1.6763 8.7294
F -1.7575 4.7204 8.7294
F 0.0000 2.0188 13.8911
F -1.4609 4.5491 13.8911
F 1.4517 0.8381 6.5209
F 1.7483 1.0094 1.3593
F 1.3866 2.9051 11.5992
F 0.0000 5.3068 11.5992
F 3.2092 0.2517 3.6512
F 1.8226 2.6534 3.6512
F 1.4609 4.5491 13.8911
F 1.7575 4.7204 8.7294
F 4.6701 1.0094 1.3593
F 3.2092 3.5397 1.3593
F 4.9667 0.8381 6.5209
F 3.2092 3.8822 6.5209
F 4.5958 2.6534 3.6512
```



Number 1 is which compound?
BaLa2S4